(1)
For Li2ZnIr, a DFT-relaxed cell (PBE, Alexandria) gives the computed powder X-ray diffraction pattern in this record (copper Kα).

Structure:
```
Li2ZnIr
1.0
2.5653 0.0000 0.0000
0.0000 4.1933 0.0000
-1.2331 0.0000 5.1536
Li Zn Ir
2 1 1
direct
0.0000 0.0000 0.0000 Li
0.0552 0.5000 0.7493 Li
0.7097 0.5000 0.2664 Zn
0.3768 0.0000 0.5077 Ir
```

The 6 most intense peaks (2θ from 10° to 90°), in order of falling intensity:
Position (°2θ)	intensity
17.21	100.0
27.42	61.4
41.12	41.9
42.29	36.7
42.15	28.6
21.19	21.1



(2)
For Li2Zn6Ir, a DFT-relaxed cell (PBE, Alexandria) gives the computed powder X-ray diffraction pattern in this record (copper Kα).

Structure:
```
Li2Zn6Ir
1.0
3.1071 -6.0927 0.0000
3.1071 6.0927 0.0000
0.0000 0.0000 3.8919
Li Zn Ir
2 6 1
direct
0.1952 0.8048 0.0000 Li
0.8048 0.1952 0.0000 Li
0.1493 0.4447 0.5000 Zn
0.2738 0.2738 0.0000 Zn
0.4447 0.1493 0.5000 Zn
0.5553 0.8507 0.5000 Zn
0.7262 0.7262 0.0000 Zn
0.8507 0.5553 0.5000 Zn
0.0000 0.0000 0.5000 Ir
```

The 6 most intense peaks (2θ from 10° to 90°), in order of falling intensity:
Position (°2θ)	intensity
14.54	100.0
47.91	91.8
39.97	91.2
35.05	72.1
22.85	62.7
26.21	48.3